1.
This entry pairs a crystal structure of Nd6TmMg2 with its simulated powder XRD pattern. Radiation: Cu Kα, 1.54184 Å. Structure: a DFT-relaxed cell (PBE, Alexandria).
Intensities are scaled so that the largest is 100.

```
Nd6TmMg2
1.0
3.0907 -5.2947 0.0000
3.0907 5.2947 0.0000
0.0000 0.0000 8.8080
Nd Tm Mg
6 1 2
Cartesian
1.5860 0.8942 5.8543
3.0907 3.4491 0.0000
1.5860 -0.8942 2.9537
4.5953 0.8942 2.9537
3.0907 -3.4491 0.0000
4.5953 -0.8942 5.8543
3.0907 0.0000 0.0000
1.5453 2.6474 2.9055
1.5453 -2.6474 5.9025
```

The 6 most intense peaks (15 to 90 degrees two-theta), in order of falling intensity:
Position (°2θ)  d (Å)  Rel. int.
30.89  2.895  100.0
35.69  2.516  69.3
30.66  2.916  61.4
30.45  2.936  61.3
35.48  2.530  42.8
19.44  4.565  26.6



2.
This entry pairs a crystal structure of PaAgSb with its simulated powder XRD pattern. Radiation: Cu Kα, 1.54184 Å. Structure: a DFT-relaxed cell (PBE, Alexandria).
Intensities are scaled so that the largest is 100.

```
PaAgSb
1.0
4.3064 0.0000 0.0000
0.0000 4.3126 0.0000
0.0204 0.0097 7.8143
Pa Ag Sb
2 2 2
Cartesian
1.0966 1.0879 7.8139
3.2303 3.2344 0.0004
1.0740 3.2326 2.5109
3.2529 1.0897 5.3033
1.0973 3.2444 5.4005
3.2295 1.0779 2.4137
```

The 6 most intense peaks (15 to 90 degrees two-theta), in order of falling intensity:
Position (°2θ)  d (Å)  Rel. int.
31.51  2.839  100.0
37.41  2.404  70.0
41.93  2.155  47.9
34.43  2.605  38.6
55.30  1.661  29.6
37.48  2.400  22.7



3.
This entry pairs a crystal structure of Ac2Si3GePt4 with its simulated powder XRD pattern. Radiation: Cu Kα, 1.54184 Å. Structure: a DFT-relaxed cell (PBE, Alexandria).
Intensities are scaled so that the largest is 100.

```
Ac2Si3GePt4
1.0
4.4332 0.0000 0.0000
0.0000 4.4332 0.0000
0.0000 0.0000 10.0177
Ac Si Ge Pt
2 3 1 4
Cartesian
0.0000 2.2166 2.4777
2.2166 0.0000 7.5401
0.0000 0.0000 0.0000
0.0000 2.2166 6.2444
2.2166 0.0000 3.7734
2.2166 2.2166 0.0000
0.0000 0.0000 5.0089
0.0000 2.2166 8.7503
2.2166 0.0000 1.2675
2.2166 2.2166 5.0089
```

The 6 most intense peaks (15 to 90 degrees two-theta), in order of falling intensity:
Position (°2θ)  d (Å)  Rel. int.
33.73  2.657  100.0
33.60  2.667  64.5
40.70  2.217  64.5
29.87  2.992  41.1
53.77  1.705  34.7
69.63  1.350  33.3



4.
This entry pairs a crystal structure of Ir6OsRu5 with its simulated powder XRD pattern. Radiation: Cu Kα, 1.54184 Å. Structure: a DFT-relaxed cell (PBE, Alexandria).
Intensities are scaled so that the largest is 100.

```
Ir6OsRu5
1.0
-1.9215 3.8552 5.7641
1.9215 -3.8552 5.7641
1.9215 3.8552 -5.7641
Ir Os Ru
6 1 5
Cartesian
1.9215 1.9252 -1.9208
0.0000 1.9227 0.0000
1.9215 1.9252 1.9208
0.0000 1.9300 3.8433
0.0000 5.7877 0.0000
0.0000 1.9300 7.6849
1.9215 0.0000 0.0000
0.0000 0.0000 1.9134
1.9215 0.0000 3.8518
0.0000 0.0000 5.7641
0.0000 3.8552 1.9123
0.0000 0.0000 9.6148
```

The 6 most intense peaks (15 to 90 degrees two-theta), in order of falling intensity:
Position (°2θ)  d (Å)  Rel. int.
40.62  2.221  100.0
47.31  1.921  32.4
83.39  1.159  25.4
69.01  1.361  21.0
47.15  1.928  16.3
83.15  1.162  12.8



5.
This entry pairs a crystal structure of Tm2SiO5 with its simulated powder XRD pattern. Radiation: Cu Kα, 1.54184 Å. Structure: a DFT-relaxed cell (PBE, Alexandria).
Intensities are scaled so that the largest is 100.

```
Tm2SiO5
1.0
9.1632 0.0000 0.0000
0.0000 6.6857 0.0000
-1.2925 0.0000 6.5791
Tm Si O
8 4 20
Cartesian
0.0200 0.7881 1.4994
-0.6262 2.5547 4.7889
3.2359 0.9469 0.0043
2.5897 2.3960 3.2938
5.2811 4.2898 3.2853
4.6349 5.7388 6.5748
8.4970 4.1310 1.7902
7.8508 5.8976 5.0797
1.4397 3.9917 6.5405
2.0859 6.0368 3.2509
5.7849 0.6489 3.3282
6.4311 2.6940 0.0386
-0.2159 0.8184 6.0844
0.4303 2.5245 2.7948
-0.1949 4.3216 6.3631
0.4514 5.7070 3.0735
2.2693 0.4106 1.9617
1.6230 2.9323 5.2512
2.3412 0.4265 4.4591
2.9874 2.9164 1.1695
3.0196 4.7060 3.2890
2.3734 5.3226 6.5785
5.4974 1.3631 0.0006
4.8512 1.9797 3.2901
4.8834 3.7694 5.4096
5.5296 6.2592 2.1200
6.2477 3.7534 1.3279
5.6015 6.2752 4.6174
7.4194 0.9787 3.5056
8.0657 2.3641 0.2160
7.4405 4.1612 3.7843
8.0867 5.8674 0.4947
```

The 6 most intense peaks (15 to 90 degrees two-theta), in order of falling intensity:
Position (°2θ)  d (Å)  Rel. int.
32.46  2.758  100.0
29.81  2.997  64.0
16.52  5.365  60.2
34.63  2.590  53.8
27.01  3.301  51.6
30.69  2.913  34.0



6.
This entry pairs a crystal structure of YCd12Au6 with its simulated powder XRD pattern. Radiation: Cu Kα, 1.54184 Å. Structure: a DFT-relaxed cell (PBE, Alexandria).
Intensities are scaled so that the largest is 100.

```
YCd12Au6
1.0
6.3373 3.6589 3.0859
-6.3373 3.6589 3.0859
0.0000 -7.3177 3.0859
Y Cd Au
1 12 6
Cartesian
0.0000 0.0000 0.0000
-2.4491 -4.2419 4.6288
-4.8982 0.0000 4.6288
-1.5556 -0.8981 2.7467
1.5556 -0.8981 2.7467
0.0000 1.7963 2.7467
2.4491 -4.2419 4.6288
-2.4491 4.2419 4.6288
0.0000 -1.7963 6.5108
-1.5556 0.8981 6.5108
1.5556 0.8981 6.5108
4.8982 0.0000 4.6288
2.4491 4.2419 4.6288
0.0000 -3.0530 3.9695
-2.6440 1.5265 3.9695
-2.6440 -1.5265 5.2880
2.6440 1.5265 3.9696
2.6440 -1.5265 5.2880
0.0000 3.0530 5.2880
```

The 6 most intense peaks (15 to 90 degrees two-theta), in order of falling intensity:
Position (°2θ)  d (Å)  Rel. int.
36.99  2.430  100.0
38.14  2.359  86.3
42.37  2.133  71.1
40.79  2.212  49.5
45.74  1.984  44.4
30.92  2.892  40.2



7.
This entry pairs a crystal structure of Tb6Dy3Ho2 with its simulated powder XRD pattern. Radiation: Cu Kα, 1.54184 Å. Structure: a DFT-relaxed cell (PBE, Alexandria).
Intensities are scaled so that the largest is 100.

```
Tb6Dy3Ho2
1.0
1.7711 1.0226 31.7296
-1.7711 1.0226 31.7296
0.0000 -2.0451 31.7296
Tb Dy Ho
6 3 2
Cartesian
0.0000 0.0000 8.6628
0.0000 0.0000 17.3150
0.0000 0.0000 34.6169
0.0000 0.0000 60.5720
0.0000 0.0000 77.8739
0.0000 0.0000 86.5261
0.0000 0.0000 0.0000
0.0000 0.0000 25.9547
0.0000 0.0000 69.2342
0.0000 0.0000 43.2681
0.0000 0.0000 51.9208
```

The 6 most intense peaks (15 to 90 degrees two-theta), in order of falling intensity:
Position (°2θ)  d (Å)  Rel. int.
30.95  2.890  100.0
35.88  2.503  50.6
51.65  1.770  36.0
61.42  1.510  32.1
61.52  1.507  10.6
64.45  1.446  9.2



8.
This entry pairs a crystal structure of Ti4VN4 with its simulated powder XRD pattern. Radiation: Cu Kα, 1.54184 Å. Structure: a DFT-relaxed cell (PBE, Alexandria).
Intensities are scaled so that the largest is 100.

```
Ti4VN4
1.0
4.6690 -2.1360 0.0000
4.6690 2.1360 0.0000
-4.6639 0.0000 4.6696
Ti V N
4 1 4
Cartesian
-0.9360 0.0000 1.9334
1.9351 0.0000 0.9390
2.7389 0.0000 3.7306
5.6100 0.0000 2.7362
4.6690 0.0000 0.0000
-1.8444 0.0000 3.7481
0.9246 0.0000 2.8194
3.7494 0.0000 1.8502
6.5184 0.0000 0.9215
```

The 6 most intense peaks (15 to 90 degrees two-theta), in order of falling intensity:
Position (°2θ)  d (Å)  Rel. int.
37.01  2.429  100.0
43.33  2.088  74.7
62.17  1.493  43.6
42.31  2.136  40.9
75.32  1.262  22.6
62.95  1.477  20.6



9.
This entry pairs a crystal structure of Mn3SbPd6 with its simulated powder XRD pattern. Radiation: Cu Kα, 1.54184 Å. Structure: a DFT-relaxed cell (PBE, Alexandria).
Intensities are scaled so that the largest is 100.

```
Mn3SbPd6
1.0
5.4764 3.1618 3.1185
-5.4764 3.1618 3.1185
0.0000 -6.3236 3.1185
Mn Sb Pd
6 2 12
Cartesian
-1.5039 -0.8683 2.3448
1.5039 -0.8683 2.3448
0.0000 1.7366 2.3448
0.0000 -1.7366 7.0105
-1.5039 0.8683 7.0105
1.5039 0.8683 7.0105
0.0000 0.0000 0.0000
0.0000 0.0000 4.6777
0.0000 -3.7100 2.7127
-3.2130 1.8550 2.7127
-1.4221 -2.4632 4.6777
-2.8442 0.0000 4.6777
-3.2130 -1.8550 6.6427
1.4221 -2.4632 4.6777
-1.4221 2.4632 4.6777
3.2129 1.8550 2.7127
2.8442 0.0000 4.6777
1.4221 2.4632 4.6777
3.2129 -1.8550 6.6427
0.0000 3.7100 6.6427
```

The 6 most intense peaks (15 to 90 degrees two-theta), in order of falling intensity:
Position (°2θ)  d (Å)  Rel. int.
39.19  2.299  100.0
42.71  2.117  96.0
39.29  2.293  71.0
40.64  2.220  66.4
39.69  2.271  50.8
21.18  4.195  40.0



10.
This entry pairs a crystal structure of FeCo4H with its simulated powder XRD pattern. Radiation: Cu Kα, 1.54184 Å. Structure: a DFT-relaxed cell (PBE, Alexandria).
Intensities are scaled so that the largest is 100.

```
FeCo4H
1.0
6.0449 -2.4979 0.0000
6.0449 2.4979 0.0000
-1.3833 0.0000 3.8787
Fe Co H
2 8 2
Cartesian
2.1115 0.0000 0.7457
8.5951 0.0000 3.1330
4.1094 1.2861 1.4764
6.0449 1.3544 0.0000
2.6548 0.0000 3.1620
6.5972 1.2861 2.4023
4.1094 -1.2861 1.4764
8.0518 0.0000 0.7167
6.0449 -1.3544 0.0000
6.5972 -1.2861 2.4023
4.3603 0.0000 2.7169
6.3463 0.0000 1.1618
```

The 6 most intense peaks (15 to 90 degrees two-theta), in order of falling intensity:
Position (°2θ)  d (Å)  Rel. int.
43.98  2.059  100.0
48.88  1.863  91.0
48.99  1.859  84.6
45.62  1.989  79.2
39.39  2.287  78.1
45.41  1.997  77.4



Repeat the tenth record exactly.
This entry pairs a crystal structure of FeCo4H with its simulated powder XRD pattern. Radiation: Cu Kα, 1.54184 Å. Structure: a DFT-relaxed cell (PBE, Alexandria).
Intensities are scaled so that the largest is 100.

```
FeCo4H
1.0
6.0449 -2.4979 0.0000
6.0449 2.4979 0.0000
-1.3833 0.0000 3.8787
Fe Co H
2 8 2
Cartesian
2.1115 0.0000 0.7457
8.5951 0.0000 3.1330
4.1094 1.2861 1.4764
6.0449 1.3544 0.0000
2.6548 0.0000 3.1620
6.5972 1.2861 2.4023
4.1094 -1.2861 1.4764
8.0518 0.0000 0.7167
6.0449 -1.3544 0.0000
6.5972 -1.2861 2.4023
4.3603 0.0000 2.7169
6.3463 0.0000 1.1618
```

The 6 most intense peaks (15 to 90 degrees two-theta), in order of falling intensity:
Position (°2θ)  d (Å)  Rel. int.
43.98  2.059  100.0
48.88  1.863  91.0
48.99  1.859  84.6
45.62  1.989  79.2
39.39  2.287  78.1
45.41  1.997  77.4



> Which formula does entry 2 have?

PaAgSb